For AcInPbCl6, a cell relaxed with GGA-PBE gives the calculated powder XRD pattern in this record (Cu Kα, 1.54184 Å).
Peak positions follow from Bragg's law for the DFT cell and can differ from measured ones.

Structural model:
```
data_AcInPbCl6
_cell_length_a 6.9989
_cell_length_b 6.9989
_cell_length_c 13.7041
_cell_angle_alpha 90.00
_cell_angle_beta 90.00
_cell_angle_gamma 90.00
_space_group_name_H-M_alt 'P 1'
_space_group_IT_number 1
loop_
_space_group_symop_operation_xyz
'x,y,z'
loop_
_atom_site_label
_atom_site_fract_x
_atom_site_fract_y
_atom_site_fract_z
Ac1 0.0000 0.0000 0.0000
Ac2 0.5000 0.5000 0.5000
In1 0.0000 0.0000 0.6671
In2 0.5000 0.5000 0.1671
Pb1 0.0000 0.0000 0.3341
Pb2 0.5000 0.5000 0.8341
Cl1 0.1818 0.1818 0.1667
Cl2 0.2041 0.2041 0.8485
Cl3 0.2078 0.2078 0.4879
Cl4 0.2922 0.7078 0.9879
Cl5 0.2959 0.7041 0.3485
Cl6 0.3182 0.6818 0.6667
Cl7 0.6818 0.3182 0.6667
Cl8 0.7041 0.2959 0.3485
Cl9 0.7078 0.2922 0.9879
Cl10 0.7922 0.7922 0.4879
Cl11 0.7959 0.7959 0.8485
Cl12 0.8182 0.8182 0.1667
```

Largest 8 diffraction maxima, sorted by position, 2θ = 10–80°:
Position (°2θ)	intensity
17.92	100
23.25	75
34.74	87
36.31	25
40.77	19
43.59	54
57.99	30
70.36	20

=====

For Tb2InCuSe4, a cell relaxed with GGA-PBE gives the calculated powder XRD pattern in this record (Cu Kα, 1.54184 Å).
Peak positions follow from Bragg's law for the DFT cell and can differ from measured ones.

Structural model:
```
data_Tb2InCuSe4
_cell_length_a 7.3453
_cell_length_b 7.3453
_cell_length_c 14.3706
_cell_angle_alpha 90.00
_cell_angle_beta 90.00
_cell_angle_gamma 147.54
_space_group_name_H-M_alt 'P 1'
_space_group_IT_number 1
loop_
_space_group_symop_operation_xyz
'x,y,z'
loop_
_atom_site_label
_atom_site_fract_x
_atom_site_fract_y
_atom_site_fract_z
Tb1 0.1341 0.8659 0.5649
Tb2 0.1341 0.8659 0.9351
Tb3 0.8659 0.1341 0.0649
Tb4 0.8659 0.1341 0.4351
In1 0.3881 0.6119 0.7500
In2 0.6119 0.3881 0.2500
Cu1 0.3398 0.6602 0.2500
Cu2 0.6602 0.3398 0.7500
Se1 0.0619 0.9381 0.7500
Se2 0.2338 0.7662 0.1131
Se3 0.2338 0.7662 0.3869
Se4 0.5000 0.5000 0.0000
Se5 0.5000 0.5000 0.5000
Se6 0.7662 0.2338 0.6131
Se7 0.7662 0.2338 0.8869
Se8 0.9381 0.0619 0.2500
```

Largest 8 diffraction maxima, sorted by position, 2θ = 10–80°:
Position (°2θ)	intensity
22.44	45
29.55	75
31.49	100
33.70	32
38.77	34
42.85	30
43.25	52
44.12	37